[1]
# TlCd2Si
Simulated X-ray diffraction stick pattern, CuKα. Input: a DFT-relaxed cell (PBE, Alexandria).
No peak broadening, texture or thermal motion is included.

Structural model:
Cell lengths 5.590, 5.590, 3.141 Å; angles 90.00, 90.00, 109.09 degrees
Atoms (fractional coordinates):
1 Tl 0.000 0.000 0.000
2 Cd 0.000 0.500 0.500
3 Cd 0.500 0.000 0.500
4 Si 0.500 0.500 0.000

Most intense lines, 2θ from 10° to 80°, by angle:
2θ (°)  d (Å)  I_rel
16.78  5.283  73.4
33.18  2.700  29.3
33.94  2.641  100.0
34.70  2.585  94.2
39.59  2.277  32.7
39.96  2.256  63.6
57.51  1.603  43.1
68.26  1.374  38.3

***

[2]
# ZnCdSi2
Simulated X-ray diffraction stick pattern, CuKα. Input: a DFT-relaxed cell (PBE, Alexandria).
No peak broadening, texture or thermal motion is included.

Structural model:
Cell lengths 3.614, 3.614, 7.789 Å; angles 99.42, 99.42, 46.89 degrees
Atoms (fractional coordinates):
1 Zn 0.000 0.000 0.000
2 Cd 0.717 0.717 0.288
3 Si 0.245 0.245 0.766
4 Si 0.488 0.488 0.574

Most intense lines, 2θ from 10° to 80°, by angle:
2θ (°)  d (Å)  I_rel
11.55  7.664  63.8
27.75  3.215  34.9
32.73  2.737  58.5
36.91  2.435  100.0
39.34  2.290  39.9
40.15  2.246  30.1
47.81  1.903  36.4
52.40  1.746  30.4

***

[3]
# ZrCdSi2
Simulated X-ray diffraction stick pattern, CuKα. Input: a DFT-relaxed cell (PBE, Alexandria).
No peak broadening, texture or thermal motion is included.

Structural model:
Cell lengths 5.176, 5.176, 5.176 Å; angles 133.60, 133.60, 67.71 degrees
Atoms (fractional coordinates):
1 Zr 0.000 0.000 0.000
2 Cd 0.500 0.500 0.000
3 Si 0.250 0.750 0.500
4 Si 0.750 0.250 0.500

Most intense lines, 2θ from 10° to 80°, by angle:
2θ (°)  d (Å)  I_rel
20.66  4.299  36.5
31.01  2.884  27.2
37.56  2.395  100.0
42.04  2.149  18.0
44.43  2.039  30.6
49.48  1.842  14.5
62.82  1.479  21.0
77.24  1.235  22.9

***

[4]
# Sm2Cd17
Simulated X-ray diffraction stick pattern, CuKα. Input: a DFT-relaxed cell (PBE, Alexandria).
No peak broadening, texture or thermal motion is included.

Structural model:
Cell lengths 7.663, 7.663, 7.663 Å; angles 82.14, 82.14, 82.14 degrees
Atoms (fractional coordinates):
1 Sm 0.170 0.170 0.170
2 Sm 0.830 0.830 0.830
3 Cd 0.000 0.500 0.500
4 Cd 0.140 0.140 0.662
5 Cd 0.140 0.662 0.140
6 Cd 0.199 0.500 0.801
7 Cd 0.199 0.801 0.500
8 Cd 0.338 0.860 0.860
9 Cd 0.399 0.399 0.399
10 Cd 0.500 0.000 0.500
11 Cd 0.500 0.199 0.801
12 Cd 0.500 0.500 0.000
13 Cd 0.500 0.801 0.199
14 Cd 0.601 0.601 0.601
15 Cd 0.662 0.140 0.140
16 Cd 0.801 0.199 0.500
17 Cd 0.801 0.500 0.199
18 Cd 0.860 0.338 0.860
19 Cd 0.860 0.860 0.338

Most intense lines, 2θ from 10° to 80°, by angle:
2θ (°)  d (Å)  I_rel
30.76  2.907  21.8
31.50  2.840  17.5
35.72  2.514  100.0
35.98  2.496  21.3
36.37  2.470  25.8
40.12  2.248  37.4
64.08  1.453  14.6
64.53  1.444  21.9

***

[5]
# SmCd11
Simulated X-ray diffraction stick pattern, CuKα. Input: a DFT-relaxed cell (PBE, Alexandria).
No peak broadening, texture or thermal motion is included.

Structural model:
Cell lengths 9.403, 9.403, 9.403 Å; angles 90.00, 90.00, 90.00 degrees
Atoms (fractional coordinates):
1 Sm 0.000 0.000 0.500
2 Sm 0.000 0.500 0.000
3 Sm 0.500 0.000 0.000
4 Cd 0.000 0.345 0.345
5 Cd 0.000 0.345 0.655
6 Cd 0.000 0.655 0.345
7 Cd 0.000 0.655 0.655
8 Cd 0.156 0.156 0.156
9 Cd 0.156 0.156 0.844
10 Cd 0.156 0.844 0.156
11 Cd 0.156 0.844 0.844
12 Cd 0.265 0.265 0.500
13 Cd 0.265 0.500 0.265
14 Cd 0.265 0.500 0.735
15 Cd 0.265 0.735 0.500
16 Cd 0.345 0.000 0.345
17 Cd 0.345 0.000 0.655
18 Cd 0.345 0.345 0.000
19 Cd 0.345 0.655 0.000
20 Cd 0.500 0.265 0.265
21 Cd 0.500 0.265 0.735
22 Cd 0.500 0.500 0.500
23 Cd 0.500 0.735 0.265
24 Cd 0.500 0.735 0.735
25 Cd 0.655 0.000 0.345
26 Cd 0.655 0.000 0.655
27 Cd 0.655 0.345 0.000
28 Cd 0.655 0.655 0.000
29 Cd 0.735 0.265 0.500
30 Cd 0.735 0.500 0.265
31 Cd 0.735 0.500 0.735
32 Cd 0.735 0.735 0.500
33 Cd 0.844 0.156 0.156
34 Cd 0.844 0.156 0.844
35 Cd 0.844 0.844 0.156
36 Cd 0.844 0.844 0.844

Most intense lines, 2θ from 10° to 80°, by angle:
2θ (°)  d (Å)  I_rel
30.05  2.973  38.2
31.56  2.835  96.5
33.00  2.714  84.7
34.39  2.608  48.6
39.52  2.281  100.0
40.71  2.216  70.0
44.14  2.052  53.8
63.33  1.468  31.7

***

[6]
# Sm2Cd7
Simulated X-ray diffraction stick pattern, CuKα. Input: a DFT-relaxed cell (PBE, Alexandria).
No peak broadening, texture or thermal motion is included.

Structural model:
Cell lengths 5.093, 5.093, 9.628 Å; angles 90.00, 90.00, 120.00 degrees
Atoms (fractional coordinates):
1 Sm 0.333 0.667 0.283
2 Sm 0.667 0.333 0.717
3 Cd 0.000 0.000 0.155
4 Cd 0.000 0.000 0.500
5 Cd 0.000 0.000 0.845
6 Cd 0.333 0.667 0.606
7 Cd 0.333 0.667 0.931
8 Cd 0.667 0.333 0.069
9 Cd 0.667 0.333 0.394

Most intense lines, 2θ from 10° to 80°, by angle:
2θ (°)  d (Å)  I_rel
34.56  2.595  100.0
35.24  2.547  97.1
50.19  1.818  33.9
61.49  1.508  16.4
62.81  1.479  33.7
63.24  1.470  16.9
72.90  1.298  9.8
74.52  1.273  10.3

***

[7]
# SmCd5
Simulated X-ray diffraction stick pattern, CuKα. Input: a DFT-relaxed cell (PBE, Alexandria).
No peak broadening, texture or thermal motion is included.

Structural model:
Cell lengths 6.888, 6.888, 4.763 Å; angles 90.00, 90.00, 140.41 degrees
Atoms (fractional coordinates):
1 Sm 0.000 0.000 0.000
2 Cd 0.167 0.833 0.500
3 Cd 0.324 0.676 0.000
4 Cd 0.500 0.500 0.500
5 Cd 0.676 0.324 0.000
6 Cd 0.833 0.167 0.500

Most intense lines, 2θ from 10° to 80°, by angle:
2θ (°)  d (Å)  I_rel
33.97  2.639  100.0
37.78  2.381  18.8
38.59  2.333  17.7
41.82  2.160  13.5
55.11  1.666  12.2
65.79  1.420  13.8
66.89  1.399  13.2
71.50  1.319  10.4

***

[8]
# SmCd4
Simulated X-ray diffraction stick pattern, CuKα. Input: a DFT-relaxed cell (PBE, Alexandria).
No peak broadening, texture or thermal motion is included.

Structural model:
Cell lengths 8.530, 8.530, 8.530 Å; angles 146.68, 133.65, 58.28 degrees
Atoms (fractional coordinates):
1 Sm 0.357 0.107 0.250
2 Sm 0.643 0.893 0.750
3 Cd 0.000 0.500 0.500
4 Cd 0.136 0.886 0.250
5 Cd 0.198 0.698 0.500
6 Cd 0.303 0.302 0.000
7 Cd 0.500 0.500 0.000
8 Cd 0.697 0.698 0.000
9 Cd 0.802 0.302 0.500
10 Cd 0.864 0.114 0.750

Most intense lines, 2θ from 10° to 80°, by angle:
2θ (°)  d (Å)  I_rel
32.91  2.721  100.0
35.26  2.545  94.6
36.01  2.494  43.8
36.75  2.446  44.3
37.19  2.418  19.1
45.43  1.997  15.7
52.40  1.746  29.1
66.76  1.401  27.8

***

[9]
# Sm2Cd3
Simulated X-ray diffraction stick pattern, CuKα. Input: a DFT-relaxed cell (PBE, Alexandria).
No peak broadening, texture or thermal motion is included.

Structural model:
Cell lengths 15.144, 15.144, 5.019 Å; angles 90.00, 90.00, 166.76 degrees
Atoms (fractional coordinates):
1 Sm 0.074 0.926 0.750
2 Sm 0.214 0.786 0.250
3 Sm 0.786 0.214 0.750
4 Sm 0.926 0.074 0.250
5 Cd 0.327 0.673 0.250
6 Cd 0.380 0.620 0.750
7 Cd 0.477 0.523 0.750
8 Cd 0.523 0.477 0.250
9 Cd 0.620 0.380 0.250
10 Cd 0.673 0.327 0.750

Most intense lines, 2θ from 10° to 80°, by angle:
2θ (°)  d (Å)  I_rel
32.49  2.756  100.0
33.05  2.710  54.5
34.76  2.580  87.9
35.78  2.509  46.3
49.50  1.841  34.7
63.63  1.462  16.2
64.43  1.446  28.1
65.08  1.433  15.6

***

[10]
# Sm3CdSn3
Simulated X-ray diffraction stick pattern, CuKα. Input: a DFT-relaxed cell (PBE, Alexandria).
No peak broadening, texture or thermal motion is included.

Structural model:
Cell lengths 6.318, 6.318, 15.144 Å; angles 106.87, 106.87, 43.02 degrees
Atoms (fractional coordinates):
1 Sm 0.017 0.017 0.376
2 Sm 0.103 0.103 0.923
3 Sm 0.232 0.232 0.225
4 Sm 0.768 0.768 0.775
5 Sm 0.897 0.897 0.077
6 Sm 0.983 0.983 0.624
7 Cd 0.275 0.275 0.618
8 Cd 0.725 0.725 0.382
9 Sn 0.366 0.366 0.454
10 Sn 0.378 0.378 0.925
11 Sn 0.495 0.495 0.775
12 Sn 0.505 0.505 0.225
13 Sn 0.622 0.622 0.075
14 Sn 0.634 0.634 0.546

Most intense lines, 2θ from 10° to 80°, by angle:
2θ (°)  d (Å)  I_rel
29.59  3.019  55.6
29.89  2.990  29.3
30.50  2.931  100.0
34.67  2.587  36.7
36.07  2.490  62.3
38.87  2.317  45.8
50.22  1.817  21.0
58.46  1.579  20.6

***

[11]
# Sm12Cd6Sn
Simulated X-ray diffraction stick pattern, CuKα. Input: a DFT-relaxed cell (PBE, Alexandria).
No peak broadening, texture or thermal motion is included.

Structural model:
Cell lengths 9.142, 9.142, 9.142 Å; angles 111.26, 111.26, 111.26 degrees
Atoms (fractional coordinates):
1 Sm 0.032 0.301 0.173
2 Sm 0.173 0.032 0.301
3 Sm 0.238 0.604 0.665
4 Sm 0.301 0.173 0.032
5 Sm 0.335 0.762 0.396
6 Sm 0.396 0.335 0.762
7 Sm 0.604 0.665 0.238
8 Sm 0.665 0.238 0.604
9 Sm 0.699 0.827 0.968
10 Sm 0.762 0.396 0.335
11 Sm 0.827 0.968 0.699
12 Sm 0.968 0.699 0.827
13 Cd 0.078 0.856 0.554
14 Cd 0.144 0.446 0.922
15 Cd 0.446 0.922 0.144
16 Cd 0.554 0.078 0.856
17 Cd 0.856 0.554 0.078
18 Cd 0.922 0.144 0.446
19 Sn 0.500 0.500 0.500

Most intense lines, 2θ from 10° to 80°, by angle:
2θ (°)  d (Å)  I_rel
31.73  2.820  100.0
32.36  2.767  32.5
36.99  2.430  66.0
52.89  1.731  22.4
53.72  1.706  22.3
63.01  1.475  12.6
63.38  1.468  25.7
64.12  1.452  12.9

***

[12]
# SrSm2Cd9
Simulated X-ray diffraction stick pattern, CuKα. Input: a DFT-relaxed cell (PBE, Alexandria).
No peak broadening, texture or thermal motion is included.

Structural model:
Cell lengths 10.192, 10.192, 10.192 Å; angles 34.72, 34.72, 34.72 degrees
Atoms (fractional coordinates):
1 Sr 0.000 0.000 0.000
2 Sm 0.144 0.144 0.144
3 Sm 0.856 0.856 0.856
4 Cd 0.077 0.590 0.590
5 Cd 0.336 0.336 0.336
6 Cd 0.410 0.410 0.923
7 Cd 0.410 0.923 0.410
8 Cd 0.500 0.500 0.500
9 Cd 0.590 0.077 0.590
10 Cd 0.590 0.590 0.077
11 Cd 0.664 0.664 0.664
12 Cd 0.923 0.410 0.410

Most intense lines, 2θ from 10° to 80°, by angle:
2θ (°)  d (Å)  I_rel
29.37  3.041  27.7
34.19  2.622  29.1
34.97  2.566  100.0
36.34  2.472  20.1
37.59  2.393  57.6
55.78  1.648  25.4
60.94  1.520  26.3
73.86  1.283  20.5